Starting from a cell relaxed with GGA-PBE, the powder diffractogram of LaRe2RuAu was simulated for Cu Kα, 1.54184 Å.
Kinematic intensities with the Lorentz-polarization factor, no thermal factor.

Largest 10 diffraction maxima, most intense first, 5 to 70 degrees two-theta:
index, d/Å, I/Imax
1 1 1, 2.840, 100.0
2 0 0, 2.389, 71.3
2 0 2, 1.765, 57.4
0 0 2, 2.620, 46.2
1 0 0, 4.778, 33.4
2 2 2, 1.420, 28.0
3 1 1, 1.452, 26.6
2 2 0, 1.689, 24.9
1 1 3, 1.552, 16.6
0 0 1, 5.241, 16.5

Crystal structure
```
data_LaRe2RuAu
_chemical_formula_sum 'La1 Re2 Ru1 Au1'
_symmetry_space_group_name_H-M 'P 4/m m m'
_symmetry_Int_Tables_number 123
_symmetry_space_group_name_Hall '-P 4 2'
_cell_length_a 4.778
_cell_length_b 4.778
_cell_length_c 5.241
_cell_angle_alpha 90.00
_cell_angle_beta 90.00
_cell_angle_gamma 90.00
loop_
_atom_site_label
_atom_site_type_symbol
_atom_site_fract_x
_atom_site_fract_y
_atom_site_fract_z
_atom_site_occupancy
La1 La 0.000 0.000 0.000 1
Re1 Re 0.000 0.500 0.000 1
Ru1 Ru 0.500 0.500 0.500 1
Au1 Au 0.000 0.000 0.500 1
```